(1)
# Ce3Pr2Ga4
Simulated X-ray powder pattern, Cu Kα, 1.54184 Å. Input: a crystal structure in Alexandria, relaxed with PBE.
Neutral-atom scattering factors, no anomalous dispersion.

Crystal structure
```
data_Ce3Pr2Ga4
_chemical_formula_sum 'Ce6 Pr4 Ga8'
_cell_length_a 8.0750
_cell_length_b 8.1009
_cell_length_c 7.7115
_cell_angle_alpha 90.00
_cell_angle_beta 107.37
_cell_angle_gamma 90.00
_symmetry_space_group_name_H-M 'P 1 21/c 1'
_symmetry_Int_Tables_number 14
loop_
_symmetry_equiv_pos_as_xyz
'x,y,z'
'-x,-y,-z'
'-x,y+1/2,-z+1/2'
'x,-y+1/2,z+1/2'
loop_
_atom_site_label
_atom_site_type_symbol
_atom_site_fract_x
_atom_site_fract_y
_atom_site_fract_z
Ce1 Ce 0.0000 0.0000 0.0000
Ce2 Ce 0.2564 0.1759 0.7526
Pr1 Pr 0.3095 0.6775 0.9293
Ga1 Ga 0.0084 0.6213 0.1219
Ga2 Ga 0.4208 0.0349 0.1332
```

Principal peaks in the range 15 to 90 degrees two-theta, sorted by position:
2θ 29.18, 3.060 Å, I = 36; 2θ 30.22, 2.958 Å, I = 40; 2θ 31.73, 2.820 Å, I = 95; 2θ 31.89, 2.806 Å, I = 100; 2θ 32.06, 2.792 Å, I = 71; 2θ 32.35, 2.767 Å, I = 38; 2θ 34.93, 2.569 Å, I = 34; 2θ 35.41, 2.535 Å, I = 59; 2θ 36.17, 2.484 Å, I = 42; 2θ 36.69, 2.450 Å, I = 70

***

(2)
# Nb5MoOs2
Simulated X-ray powder pattern, Cu Kα, 1.54184 Å. Input: a crystal structure in Alexandria, relaxed with PBE.
Neutral-atom scattering factors, no anomalous dispersion.

Crystal structure
```
data_Nb5MoOs2
_chemical_formula_sum 'Nb10 Mo2 Os4'
_cell_length_a 6.4613
_cell_length_b 6.4613
_cell_length_c 6.4333
_cell_angle_alpha 90.00
_cell_angle_beta 90.00
_cell_angle_gamma 90.00
_symmetry_space_group_name_H-M 'I 4/m m m'
_symmetry_Int_Tables_number 139
_symmetry_space_group_name_Hall '-I 4 2'
loop_
_atom_site_label
_atom_site_type_symbol
_atom_site_fract_x
_atom_site_fract_y
_atom_site_fract_z
Nb1 Nb 0.0000 0.0000 0.0000
Nb2 Nb 0.2500 0.2500 0.2500
Mo1 Mo 0.0000 0.0000 0.5000
Os1 Os 0.0000 0.5000 0.0000
```

Principal peaks in the range 15 to 90 degrees two-theta, sorted by position:
2θ 19.43, 4.569 Å, I = 7; 2θ 27.61, 3.231 Å, I = 3; 2θ 34.09, 2.630 Å, I = 4; 2θ 39.51, 2.281 Å, I = 100; 2θ 57.01, 1.615 Å, I = 11; 2θ 57.28, 1.608 Å, I = 6; 2θ 71.60, 1.318 Å, I = 23; 2θ 71.78, 1.315 Å, I = 11; 2θ 84.90, 1.142 Å, I = 4; 2θ 85.13, 1.140 Å, I = 7

***

(3)
# Mg2InGaAg
Simulated X-ray powder pattern, Cu Kα, 1.54184 Å. Input: a crystal structure in Alexandria, relaxed with PBE.
Neutral-atom scattering factors, no anomalous dispersion.

Crystal structure
```
data_Mg2InGaAg
_chemical_formula_sum 'Mg4 In2 Ga2 Ag2'
_cell_length_a 6.7881
_cell_length_b 4.2223
_cell_length_c 7.1587
_cell_angle_alpha 90.00
_cell_angle_beta 91.60
_cell_angle_gamma 90.00
_symmetry_space_group_name_H-M 'P 1 21/m 1'
_symmetry_Int_Tables_number 11
loop_
_symmetry_equiv_pos_as_xyz
'x,y,z'
'-x,-y,-z'
'-x,y+1/2,-z'
'x,-y+1/2,z'
loop_
_atom_site_label
_atom_site_type_symbol
_atom_site_fract_x
_atom_site_fract_y
_atom_site_fract_z
Mg1 Mg 0.0341 0.2500 0.1708
Mg2 Mg 0.4566 0.2500 0.3520
In1 In 0.3415 0.7500 0.0536
Ga1 Ga 0.1490 0.7500 0.4480
Ag1 Ag 0.2510 0.2500 0.7208
```

Principal peaks in the range 15 to 90 degrees two-theta, sorted by position:
2θ 17.76, 4.994 Å, I = 34; 2θ 24.48, 3.636 Å, I = 36; 2θ 26.27, 3.393 Å, I = 17; 2θ 35.18, 2.551 Å, I = 100; 2θ 36.47, 2.463 Å, I = 95; 2θ 40.43, 2.231 Å, I = 32; 2θ 41.54, 2.174 Å, I = 32; 2θ 42.84, 2.111 Å, I = 30; 2θ 60.36, 1.533 Å, I = 19; 2θ 61.17, 1.515 Å, I = 29